This entry pairs a crystal structure of Tb2Pr3Sm6Er with its simulated PXRD pattern. Radiation: a wavelength of 1.5418 Å. Structure: DFT lattice parameters and positions (GGA-PBE).
Intensities are scaled so that the largest is 100.

Crystal structure
```
Tb2Pr3Sm6Er
1.0
3.1443 -5.4466 0.0000
3.1443 5.4466 0.0000
-2.0999 0.0000 11.8476
Tb Pr Sm Er
2 3 6 1
direct
0.1666 0.8334 0.0000
0.8334 0.1666 0.0000
0.0000 0.0000 0.5000
0.3334 0.6666 0.5000
0.6666 0.3334 0.5000
0.0851 0.4181 0.7548
0.2491 0.2491 0.2453
0.4181 0.0851 0.7548
0.5819 0.9149 0.2452
0.7509 0.7509 0.7547
0.9149 0.5819 0.2452
0.5000 0.5000 0.0000
```

Peak list (6 most intense, 2θ from 10° to 80°, in order of rising 2θ)
- 2θ 30.15, I = 100
- 2θ 34.96, I = 51
- 2θ 50.27, I = 36
- 2θ 59.75, I = 43
- 2θ 62.70, I = 12
- 2θ 73.84, I = 6